# Ca2HoZn9
Calculated powder diffractogram, Cu Kα (λ = 1.5418 Å). Input: a cell relaxed with PBE.
Neutral-atom scattering factors, no anomalous dispersion.

Cell and atoms:
```
data_Ca2HoZn9
_chemical_formula_sum 'Ca6 Ho3 Zn27'
_cell_length_a 5.4672
_cell_length_b 5.4672
_cell_length_c 25.8637
_cell_angle_alpha 90.00
_cell_angle_beta 90.00
_cell_angle_gamma 120.00
_symmetry_space_group_name_H-M 'R -3 m'
_symmetry_Int_Tables_number 166
_symmetry_space_group_name_Hall '-R 3 2"'
loop_
_atom_site_label
_atom_site_type_symbol
_atom_site_fract_x
_atom_site_fract_y
_atom_site_fract_z
Ca1 Ca 0.0000 0.0000 0.1419
Ho1 Ho 0.0000 0.0000 0.0000
Zn1 Zn 0.0000 0.0000 0.3349
Zn2 Zn 0.0000 0.0000 0.5000
Zn3 Zn 0.0054 0.5027 0.9189
```

Most intense lines, 2θ = 15–90°, low angle first:
- hkl 1 1 0, 2θ = 32.76°, rel. 25
- hkl 0 1 8, 2θ = 33.57°, rel. 24
- hkl 0 2 1, 2θ = 38.17°, rel. 33
- hkl 2 0 2, 2θ = 38.67°, rel. 22
- hkl 1 1 6, 2θ = 39.02°, rel. 100
- hkl 0 0 12, 2θ = 41.94°, rel. 41
- hkl 3 0 6, 2θ = 62.69°, rel. 24
- hkl 2 0 14, 2θ = 63.89°, rel. 15
- hkl 2 2 0, 2θ = 68.67°, rel. 21
- hkl 2 2 12, 2θ = 83.81°, rel. 20